[1]
For Ba7HgAu5, a cell relaxed with PBE gives the simulated powder XRD pattern in this record (Cu Kα).
Intensities are scaled so that the largest is 100.

Atomic structure:
abc: 8.244 8.244 28.458
angles: 90.03 90.03 33.52
Positions (direct):
Ba 0.000 0.000 0.000
Ba 0.000 0.000 0.154
Ba 0.091 0.091 0.433
Ba 0.091 0.091 0.720
Ba 0.269 0.269 0.221
Ba 0.269 0.269 0.933
Ba 0.361 0.361 0.500
Ba 0.361 0.361 0.654
Ba 0.544 0.544 0.291
Ba 0.544 0.544 0.863
Ba 0.635 0.635 0.577
Ba 0.726 0.726 0.077
Ba 0.816 0.816 0.363
Ba 0.816 0.816 0.790
Hg 0.394 0.394 0.077
Hg 0.967 0.967 0.577
Au 0.180 0.180 0.327
Au 0.180 0.180 0.827
Au 0.455 0.455 0.398
Au 0.456 0.456 0.756
Au 0.636 0.636 0.183
Au 0.637 0.637 0.971
Au 0.724 0.724 0.471
Au 0.724 0.724 0.682
Au 0.905 0.905 0.256
Au 0.905 0.905 0.898

Top 12 peaks for 5 to 70 degrees two-theta, in order of rising 2θ:
| d_spacing | Rel. int. |
| --- | --- |
| 4.066 | 25 |
| 3.614 | 44 |
| 3.424 | 88 |
| 3.306 | 100 |
| 3.243 | 33 |
| 2.597 | 30 |
| 2.467 | 27 |
| 2.413 | 37 |
| 2.388 | 72 |
| 2.377 | 47 |
| 2.301 | 26 |
| 1.493 | 25 |

[2]
For Ba2Hg3Au6, a cell relaxed with PBE gives the simulated powder XRD pattern in this record (Cu Kα).
Intensities are scaled so that the largest is 100.

Atomic structure:
abc: 8.197 8.197 4.687
angles: 90.00 90.00 107.81
Positions (direct):
Ba 0.178 0.822 0.000
Ba 0.822 0.178 0.000
Hg 0.309 0.309 0.000
Hg 0.500 0.500 0.500
Hg 0.691 0.691 0.000
Au 0.139 0.139 0.500
Au 0.166 0.512 0.500
Au 0.488 0.834 0.500
Au 0.512 0.166 0.500
Au 0.834 0.488 0.500
Au 0.861 0.861 0.500

Top 12 peaks for 5 to 70 degrees two-theta, in order of rising 2θ:
| d_spacing | Rel. int. |
| --- | --- |
| 6.623 | 24 |
| 4.687 | 39 |
| 3.050 | 83 |
| 2.999 | 64 |
| 2.602 | 83 |
| 2.360 | 21 |
| 2.344 | 56 |
| 2.275 | 100 |
| 2.208 | 48 |
| 1.741 | 32 |
| 1.607 | 34 |
| 1.540 | 24 |

[3]
For BaHgAu4, a cell relaxed with PBE gives the simulated powder XRD pattern in this record (Cu Kα).
Intensities are scaled so that the largest is 100.

Atomic structure:
abc: 9.619 9.619 9.619
angles: 100.18 100.18 130.28
Positions (direct):
Ba 0.225 0.225 0.000
Ba 0.250 0.750 0.500
Ba 0.750 0.250 0.500
Ba 0.775 0.775 0.000
Hg 0.228 0.500 0.728
Hg 0.500 0.228 0.728
Hg 0.500 0.772 0.272
Hg 0.772 0.500 0.272
Au 0.109 0.271 0.380
Au 0.109 0.729 0.838
Au 0.144 0.144 0.642
Au 0.144 0.501 0.000
Au 0.271 0.109 0.380
Au 0.271 0.891 0.162
Au 0.499 0.499 0.642
Au 0.499 0.856 0.000
Au 0.501 0.144 0.000
Au 0.501 0.501 0.358
Au 0.729 0.109 0.838
Au 0.729 0.891 0.620
Au 0.856 0.499 0.000
Au 0.856 0.856 0.358
Au 0.891 0.271 0.162
Au 0.891 0.729 0.620

Top 12 peaks for 5 to 70 degrees two-theta, in order of rising 2θ:
| d_spacing | Rel. int. |
| --- | --- |
| 6.171 | 76 |
| 2.966 | 99 |
| 2.909 | 29 |
| 2.808 | 38 |
| 2.760 | 50 |
| 2.361 | 100 |
| 2.255 | 61 |
| 2.205 | 63 |
| 2.117 | 62 |
| 1.834 | 36 |
| 1.363 | 33 |
| 1.353 | 20 |

[4]
For Ba4HgAu2, a cell relaxed with PBE gives the simulated powder XRD pattern in this record (Cu Kα).
Intensities are scaled so that the largest is 100.

Atomic structure:
abc: 8.970 8.970 8.970
angles: 109.41 109.41 109.60
Positions (direct):
Ba 0.117 0.498 0.747
Ba 0.119 0.001 0.753
Ba 0.248 0.367 0.247
Ba 0.502 0.249 0.619
Ba 0.631 0.883 0.381
Ba 0.633 0.881 0.881
Ba 0.751 0.369 0.253
Ba 0.999 0.752 0.119
Hg 0.250 0.750 0.500
Hg 0.500 0.500 0.000
Au 0.375 0.002 0.127
Au 0.752 0.625 0.627
Au 0.875 0.248 0.873
Au 0.998 0.125 0.373

Top 12 peaks for 5 to 70 degrees two-theta, in order of rising 2θ:
| d_spacing | Rel. int. |
| --- | --- |
| 4.229 | 16 |
| 3.275 | 100 |
| 2.768 | 56 |
| 2.316 | 21 |
| 2.208 | 15 |
| 2.114 | 11 |
| 2.031 | 26 |
| 1.681 | 27 |
| 1.639 | 7 |
| 1.598 | 13 |
| 1.410 | 17 |
| 1.408 | 7 |

[5]
For Ba2Hg5Au12, a cell relaxed with PBE gives the simulated powder XRD pattern in this record (Cu Kα).
Intensities are scaled so that the largest is 100.

Atomic structure:
abc: 7.598 7.598 7.598
angles: 86.96 86.96 86.96
Positions (direct):
Ba 0.152 0.152 0.152
Ba 0.848 0.848 0.848
Hg 0.000 0.500 0.500
Hg 0.398 0.398 0.398
Hg 0.500 0.000 0.500
Hg 0.500 0.500 0.000
Hg 0.602 0.602 0.602
Au 0.160 0.160 0.680
Au 0.160 0.680 0.160
Au 0.167 0.500 0.833
Au 0.167 0.833 0.500
Au 0.320 0.840 0.840
Au 0.500 0.167 0.833
Au 0.500 0.833 0.167
Au 0.680 0.160 0.160
Au 0.833 0.167 0.500
Au 0.833 0.500 0.167
Au 0.840 0.320 0.840
Au 0.840 0.840 0.320

Top 12 peaks for 5 to 70 degrees two-theta, in order of rising 2θ:
| d_spacing | Rel. int. |
| --- | --- |
| 5.228 | 21 |
| 3.018 | 33 |
| 2.614 | 49 |
| 2.526 | 96 |
| 2.433 | 10 |
| 2.307 | 29 |
| 2.274 | 100 |
| 2.111 | 26 |
| 1.630 | 24 |
| 1.509 | 35 |
| 1.501 | 17 |
| 1.370 | 22 |

[6]
For BaHgAu5, a cell relaxed with PBE gives the simulated powder XRD pattern in this record (Cu Kα).
Intensities are scaled so that the largest is 100.

Atomic structure:
abc: 9.548 5.701 11.790
angles: 90.00 90.00 90.00
Positions (direct):
Ba 0.240 0.250 0.062
Ba 0.260 0.750 0.562
Ba 0.740 0.250 0.438
Ba 0.760 0.750 0.938
Hg 0.137 0.750 0.864
Hg 0.363 0.250 0.364
Hg 0.637 0.750 0.636
Hg 0.863 0.250 0.136
Au 0.060 0.750 0.096
Au 0.071 0.006 0.308
Au 0.071 0.494 0.308
Au 0.082 0.250 0.517
Au 0.181 0.250 0.748
Au 0.319 0.750 0.248
Au 0.418 0.750 0.017
Au 0.429 0.506 0.808
Au 0.429 0.994 0.808
Au 0.440 0.250 0.596
Au 0.560 0.750 0.404
Au 0.571 0.006 0.192
Au 0.571 0.494 0.192
Au 0.582 0.250 0.983
Au 0.681 0.250 0.752
Au 0.819 0.750 0.252
Au 0.918 0.750 0.483
Au 0.929 0.506 0.692
Au 0.929 0.994 0.692
Au 0.940 0.250 0.904

Top 12 peaks for 5 to 70 degrees two-theta, in order of rising 2θ:
| d_spacing | Rel. int. |
| --- | --- |
| 2.850 | 28 |
| 2.816 | 35 |
| 2.705 | 100 |
| 2.678 | 65 |
| 2.396 | 68 |
| 2.339 | 54 |
| 2.296 | 79 |
| 2.289 | 60 |
| 2.260 | 30 |
| 2.243 | 81 |
| 1.616 | 30 |
| 1.532 | 30 |

[7]
For BaHg8Au2, a cell relaxed with PBE gives the simulated powder XRD pattern in this record (Cu Kα).
Intensities are scaled so that the largest is 100.

Atomic structure:
abc: 10.348 10.348 10.348
angles: 144.13 144.13 51.63
Positions (direct):
Ba 0.000 0.000 0.000
Hg 0.111 0.111 0.508
Hg 0.111 0.603 0.000
Hg 0.397 0.397 0.508
Hg 0.397 0.889 0.000
Hg 0.603 0.111 0.000
Hg 0.603 0.603 0.492
Hg 0.889 0.397 0.000
Hg 0.889 0.889 0.492
Au 0.250 0.750 0.500
Au 0.750 0.250 0.500

Top 12 peaks for 5 to 70 degrees two-theta, in order of rising 2θ:
| d_spacing | Rel. int. |
| --- | --- |
| 9.316 | 47 |
| 4.658 | 22 |
| 4.057 | 22 |
| 3.186 | 25 |
| 2.630 | 100 |
| 2.329 | 10 |
| 2.253 | 38 |
| 2.224 | 27 |
| 1.619 | 14 |
| 1.593 | 13 |
| 1.436 | 12 |
| 1.363 | 27 |

[8]
For Ba3Hg8Au3, a cell relaxed with PBE gives the simulated powder XRD pattern in this record (Cu Kα).
Intensities are scaled so that the largest is 100.

Atomic structure:
abc: 9.397 9.397 10.073
angles: 121.72 121.72 31.84
Positions (direct):
Ba 0.000 0.000 0.000
Ba 0.292 0.292 0.301
Ba 0.708 0.708 0.699
Hg 0.135 0.135 0.838
Hg 0.141 0.141 0.430
Hg 0.338 0.338 0.979
Hg 0.500 0.500 0.321
Hg 0.500 0.500 0.679
Hg 0.662 0.662 0.021
Hg 0.859 0.859 0.570
Hg 0.865 0.865 0.162
Au 0.000 0.000 0.500
Au 0.346 0.346 0.703
Au 0.654 0.654 0.297

Top 12 peaks for 5 to 70 degrees two-theta, in order of rising 2θ:
| d_spacing | Rel. int. |
| --- | --- |
| 3.007 | 25 |
| 2.944 | 63 |
| 2.922 | 86 |
| 2.813 | 55 |
| 2.646 | 32 |
| 2.628 | 39 |
| 2.577 | 100 |
| 2.522 | 48 |
| 2.269 | 42 |
| 2.244 | 56 |
| 2.234 | 24 |
| 1.803 | 37 |

[9]
For BaHg8Au4, a cell relaxed with PBE gives the simulated powder XRD pattern in this record (Cu Kα).
Intensities are scaled so that the largest is 100.

Atomic structure:
abc: 7.985 7.985 7.985
angles: 97.10 97.10 138.84
Positions (direct):
Ba 0.000 0.000 0.000
Hg 0.000 0.356 0.356
Hg 0.000 0.644 0.644
Hg 0.282 0.500 0.782
Hg 0.356 0.000 0.356
Hg 0.500 0.282 0.782
Hg 0.500 0.718 0.218
Hg 0.644 0.000 0.644
Hg 0.718 0.500 0.218
Au 0.000 0.000 0.500
Au 0.000 0.500 0.000
Au 0.500 0.000 0.000
Au 0.500 0.500 0.500

Top 12 peaks for 5 to 70 degrees two-theta, in order of rising 2θ:
| d_spacing | Rel. int. |
| --- | --- |
| 5.286 | 14 |
| 2.985 | 38 |
| 2.643 | 71 |
| 2.599 | 100 |
| 2.479 | 70 |
| 2.364 | 56 |
| 2.332 | 51 |
| 2.245 | 84 |
| 1.577 | 22 |
| 1.517 | 25 |
| 1.492 | 32 |
| 1.436 | 16 |